Structure and simulated XRD peak list of Tl6Sn3Br14 (DFT lattice parameters and positions (PBE); Cu Kα (weighted mean of Kα1 and Kα2)).
Lines closer than 0.1° are merged.

Top 8 peaks for 15° ≤ 2θ ≤ 90°, in order of rising 2θ:
hkl  2θ (°)  Rel. int.
1 1 1  18.99  28
0 2 1  20.97  100
3 -1 1  26.06  48
2 0 2  28.75  75
3 0 1  28.99  27
2 2 0  30.88  67
0 2 3  38.57  47
0 3 3  43.73  27

Atomic structure:
```
data_Tl6Sn3Br14
_symmetry_space_group_name_H-M 'P 1'
_symmetry_Int_Tables_number 1
_cell_length_a 11.5831
_cell_length_b 11.5831
_cell_length_c 7.9075
_cell_angle_alpha 90.00
_cell_angle_beta 90.00
_cell_angle_gamma 120.00
loop_
_symmetry_equiv_pos_as_xyz
'x,y,z'
loop_
_atom_site_label
_atom_site_type_symbol
_atom_site_fract_x
_atom_site_fract_y
_atom_site_fract_z
Tl1 Tl 0.0134 0.5444 0.0000
Tl2 Tl 0.1181 0.2875 0.4190
Tl3 Tl 0.1694 0.8819 0.4190
Tl4 Tl 0.4556 0.4690 0.0000
Tl5 Tl 0.5310 0.9866 0.0000
Tl6 Tl 0.7125 0.8306 0.4190
Sn1 Sn 0.0000 0.0000 0.9848
Sn2 Sn 0.3333 0.6667 0.6066
Sn3 Sn 0.6667 0.3333 0.5587
Br1 Br 0.0000 0.0000 0.5975
Br2 Br 0.0890 0.5635 0.3901
Br3 Br 0.1892 0.4207 0.8291
Br4 Br 0.2316 0.8108 0.8291
Br5 Br 0.2479 0.1471 0.1508
Br6 Br 0.4365 0.5255 0.3901
Br7 Br 0.4365 0.2063 0.6751
Br8 Br 0.4745 0.9110 0.3901
Br9 Br 0.5793 0.7684 0.8291
Br10 Br 0.6667 0.3333 0.2448
Br11 Br 0.7697 0.5635 0.6751
Br12 Br 0.7937 0.2303 0.6751
Br13 Br 0.8529 0.1009 0.1508
Br14 Br 0.8991 0.7521 0.1508
```

Structure and simulated XRD peak list of DyAl3Pd3 (DFT lattice parameters and positions (PBE); Cu Kα (weighted mean of Kα1 and Kα2)).
Lines closer than 0.1° are merged.

Top 8 peaks for 15° ≤ 2θ ≤ 90°, in order of rising 2θ:
hkl  2θ (°)  Rel. int.
2 0 0  26.49  43
2 1 0  29.69  39
2 1 1  32.60  100
3 2 1  50.77  57
4 0 0  54.55  21
4 2 0  61.65  16
5 2 1  77.74  16
6 1 1  89.87  17

Atomic structure:
```
data_DyAl3Pd3
_symmetry_space_group_name_H-M 'P 1'
_symmetry_Int_Tables_number 1
_cell_length_a 6.7286
_cell_length_b 6.7286
_cell_length_c 6.7286
_cell_angle_alpha 90.00
_cell_angle_beta 90.00
_cell_angle_gamma 90.00
loop_
_symmetry_equiv_pos_as_xyz
'x,y,z'
loop_
_atom_site_label
_atom_site_type_symbol
_atom_site_fract_x
_atom_site_fract_y
_atom_site_fract_z
Dy1 Dy 0.0000 0.0000 0.0000
Dy2 Dy 0.5000 0.5000 0.5000
Al1 Al 0.0000 0.2500 0.5000
Al2 Al 0.0000 0.7500 0.5000
Al3 Al 0.2500 0.5000 0.0000
Al4 Al 0.5000 0.0000 0.2500
Al5 Al 0.5000 0.0000 0.7500
Al6 Al 0.7500 0.5000 0.0000
Pd1 Pd 0.0000 0.5000 0.2500
Pd2 Pd 0.0000 0.5000 0.7500
Pd3 Pd 0.2500 0.0000 0.5000
Pd4 Pd 0.5000 0.2500 0.0000
Pd5 Pd 0.5000 0.7500 0.0000
Pd6 Pd 0.7500 0.0000 0.5000
```

What did the first record say?
Structure and simulated XRD peak list of Tl6Sn3Br14 (DFT lattice parameters and positions (PBE); Cu Kα (weighted mean of Kα1 and Kα2)).
Lines closer than 0.1° are merged.

Top 8 peaks for 15° ≤ 2θ ≤ 90°, in order of rising 2θ:
hkl  2θ (°)  Rel. int.
1 1 1  18.99  28
0 2 1  20.97  100
3 -1 1  26.06  48
2 0 2  28.75  75
3 0 1  28.99  27
2 2 0  30.88  67
0 2 3  38.57  47
0 3 3  43.73  27

Atomic structure:
```
data_Tl6Sn3Br14
_symmetry_space_group_name_H-M 'P 1'
_symmetry_Int_Tables_number 1
_cell_length_a 11.5831
_cell_length_b 11.5831
_cell_length_c 7.9075
_cell_angle_alpha 90.00
_cell_angle_beta 90.00
_cell_angle_gamma 120.00
loop_
_symmetry_equiv_pos_as_xyz
'x,y,z'
loop_
_atom_site_label
_atom_site_type_symbol
_atom_site_fract_x
_atom_site_fract_y
_atom_site_fract_z
Tl1 Tl 0.0134 0.5444 0.0000
Tl2 Tl 0.1181 0.2875 0.4190
Tl3 Tl 0.1694 0.8819 0.4190
Tl4 Tl 0.4556 0.4690 0.0000
Tl5 Tl 0.5310 0.9866 0.0000
Tl6 Tl 0.7125 0.8306 0.4190
Sn1 Sn 0.0000 0.0000 0.9848
Sn2 Sn 0.3333 0.6667 0.6066
Sn3 Sn 0.6667 0.3333 0.5587
Br1 Br 0.0000 0.0000 0.5975
Br2 Br 0.0890 0.5635 0.3901
Br3 Br 0.1892 0.4207 0.8291
Br4 Br 0.2316 0.8108 0.8291
Br5 Br 0.2479 0.1471 0.1508
Br6 Br 0.4365 0.5255 0.3901
Br7 Br 0.4365 0.2063 0.6751
Br8 Br 0.4745 0.9110 0.3901
Br9 Br 0.5793 0.7684 0.8291
Br10 Br 0.6667 0.3333 0.2448
Br11 Br 0.7697 0.5635 0.6751
Br12 Br 0.7937 0.2303 0.6751
Br13 Br 0.8529 0.1009 0.1508
Br14 Br 0.8991 0.7521 0.1508
```